Diffraction record for Mn3FeAs4. The powder diffraction line list is simulated, not measured: it uses a crystal structure in Alexandria, relaxed with PBE and Cu Kα.
Lines closer than 0.1° are merged.

Largest 10 diffraction maxima, low angle first, 2θ = 5–70°:
h k l	2theta	d (Å)	I (rel.)
1 0 -2	34.15	2.625	100
1 0 2	34.21	2.621	20
2 1 0	42.39	2.132	14
1 1 -2	43.24	2.092	35
2 1 -1	45.07	2.012	42
2 1 1	45.17	2.007	45
0 2 0	52.84	1.733	56
3 0 -1	52.96	1.729	9
1 2 -2	64.39	1.447	9
1 2 2	64.48	1.445	9

Structure:
Cell: 5.411 3.465 6.003 Å, 90.00 90.20 90.00°
Atoms (fractional coordinates):
Mn  0.000  0.000  0.000
Mn  0.010  0.500  0.386
Mn  0.499  0.000  0.889
Fe  0.505  0.500  0.498
As  0.197  0.500  0.771
As  0.312  0.000  0.281
As  0.698  0.500  0.115
As  0.796  0.000  0.603